Structure and calculated X-ray diffraction stick pattern of UAl3Pd2 (a crystal structure in Alexandria, relaxed with PBE; Cu Ka).

Structure:
```
data_UAl3Pd2
_chemical_formula_sum 'U1 Al3 Pd2'
_cell_length_a 5.3738
_cell_length_b 5.3738
_cell_length_c 4.2375
_cell_angle_alpha 90.00
_cell_angle_beta 90.00
_cell_angle_gamma 120.00
_symmetry_space_group_name_H-M 'P 6/m m m'
_symmetry_Int_Tables_number 191
_symmetry_space_group_name_Hall '-P 6 2'
loop_
_atom_site_label
_atom_site_type_symbol
_atom_site_fract_x
_atom_site_fract_y
_atom_site_fract_z
U1 U 0.0000 0.0000 0.0000
Al1 Al 0.0000 0.5000 0.5000
Pd1 Pd 0.3333 0.6667 0.0000
```

Principal peaks in the range 2θ = 10–80°, by angle:
| index | 2θ/deg | I/Imax |
| --- | --- | --- |
| 1 0 0 | 19.07 | 10 |
| 0 0 1 | 20.96 | 50 |
| 1 0 1 | 28.49 | 23 |
| 1 1 0 | 33.35 | 63 |
| 1 1 1 | 39.72 | 100 |
| 0 0 2 | 42.67 | 17 |
| 1 1 2 | 55.21 | 30 |
| 3 0 0 | 59.60 | 12 |
| 3 0 1 | 63.90 | 25 |
| 2 2 0 | 70.04 | 12 |
| 2 2 1 | 74.02 | 10 |
| 1 1 3 | 76.09 | 27 |